The following is a computed powder diffractogram of NpTi2Sb. It was derived from a cell relaxed with GGA-PBE, using Cu Kα X-rays.
Neutral-atom scattering factors, no anomalous dispersion.

Atomic structure:
```
4
Lattice="4.5099 0.0000 0.0000 0.0000 4.5099 0.0000 0.0000 0.0000 3.8162" Properties=species:S:1:pos:R:3 pbc="T T T"
Np 0.0000 0.0000 0.0000
Ti 0.0000 2.2549 1.9081
Ti 2.2549 0.0000 1.9081
Sb 2.2549 2.2549 0.0000
```

Largest 10 diffraction maxima, sorted by position, 5 to 70 degrees two-theta:
(hkl)	Position (°2θ)	Rel. int.
1 0 0	19.69	13
0 0 1	23.31	26
1 1 0	27.98	33
1 1 1	36.73	100
2 0 0	39.98	39
2 0 1	46.79	17
0 0 2	47.66	12
1 1 2	56.18	10
2 2 0	57.83	13
2 0 2	63.91	19